Entry 1:
For TlBi12Au4, a PBE-relaxed structure gives the calculated powder XRD pattern in this record (Cu Ka).
Kinematic intensities with the Lorentz-polarization factor, no thermal factor.

Peak list (12 most intense, 2θ = 10–90°, low angle first)
27.47 deg, d = 3.247 Å, I = 100
32.64 deg, d = 2.744 Å, I = 41
39.24 deg, d = 2.296 Å, I = 32
43.17 deg, d = 2.096 Å, I = 36
45.03 deg, d = 2.013 Å, I = 35
51.93 deg, d = 1.761 Å, I = 12
56.71 deg, d = 1.623 Å, I = 9
61.23 deg, d = 1.514 Å, I = 19
62.70 deg, d = 1.482 Å, I = 9
69.76 deg, d = 1.348 Å, I = 12
79.16 deg, d = 1.210 Å, I = 17
80.47 deg, d = 1.193 Å, I = 13

Cell and atoms:
a b c (Å): 8.891 8.891 8.891
angles (deg): 109.47 109.47 109.47
Fractional positions:
Tl1 0.000 0.000 0.000
Bi1 0.156 0.345 0.501
Bi2 0.156 0.655 0.811
Bi3 0.189 0.844 0.345
Bi4 0.345 0.189 0.844
Bi5 0.345 0.501 0.156
Bi6 0.499 0.844 0.655
Bi7 0.501 0.156 0.345
Bi8 0.655 0.499 0.844
Bi9 0.655 0.811 0.156
Bi10 0.811 0.156 0.655
Bi11 0.844 0.345 0.189
Bi12 0.844 0.655 0.499
Au1 0.000 0.000 0.500
Au2 0.000 0.500 0.000
Au3 0.500 0.000 0.000
Au4 0.500 0.500 0.500

---

Entry 2:
For Tm5BiAu, a PBE-relaxed structure gives the calculated powder XRD pattern in this record (Cu Ka).
Kinematic intensities with the Lorentz-polarization factor, no thermal factor.

Peak list (12 most intense, 2θ = 10–90°, low angle first)
25.65 deg, d = 3.474 Å, I = 13
27.17 deg, d = 3.282 Å, I = 17
30.78 deg, d = 2.905 Å, I = 32
31.80 deg, d = 2.814 Å, I = 100
32.33 deg, d = 2.769 Å, I = 76
32.47 deg, d = 2.757 Å, I = 18
35.44 deg, d = 2.533 Å, I = 28
36.82 deg, d = 2.441 Å, I = 29
42.29 deg, d = 2.137 Å, I = 18
42.97 deg, d = 2.105 Å, I = 12
46.14 deg, d = 1.967 Å, I = 11
53.91 deg, d = 1.701 Å, I = 17

Cell and atoms:
a b c (Å): 6.582 6.582 11.408
angles (deg): 103.02 103.02 59.53
Fractional positions:
Tm1 0.072 0.928 0.750
Tm2 0.083 0.377 0.645
Tm3 0.227 0.502 0.949
Tm4 0.377 0.083 0.145
Tm5 0.498 0.773 0.551
Tm6 0.502 0.227 0.449
Tm7 0.623 0.917 0.855
Tm8 0.773 0.498 0.051
Tm9 0.917 0.623 0.355
Tm10 0.928 0.072 0.250
Bi1 0.426 0.574 0.250
Bi2 0.574 0.426 0.750
Au1 0.000 0.000 0.000
Au2 0.000 0.000 0.500